[1]
The following is a theoretical XRD peak list of Tm3Te3I. It was derived from a structure optimized by DFT (PBE), using λ = 1.5418 Å (Cu Kα).
Peak positions follow from Bragg's law for the DFT cell and can differ from measured ones.

Structural model:
abc: 4.2940 4.2940 11.9940
angles: 90.00 90.00 90.00
Space group P4/mmm (No. 123)
Inequivalent atoms, fractional coordinates:
Tm1 0.0000 0.0000 0.0000 x1
Tm2 0.5000 0.5000 0.2509 x2
Te1 0.0000 0.0000 0.2586 x2
Te2 0.5000 0.5000 0.0000 x1
I1 0.5000 0.5000 0.5000 x1

Main lines, sorted by position (15° ≤ 2θ ≤ 90°):
2θ = 29.4°, intensity 100, hkl 1 1 0; 2θ = 29.8°, intensity 48, hkl 0 0 4; 2θ = 42.1°, intensity 38, hkl 2 0 0; 2θ = 42.4°, intensity 73, hkl 1 1 4; 2θ = 52.4°, intensity 39, hkl 2 0 4; 2θ = 61.0°, intensity 13, hkl 2 2 0; 2θ = 69.2°, intensity 17, hkl 3 1 0; 2θ = 69.4°, intensity 17, hkl 2 2 4; 2θ = 70.0°, intensity 16, hkl 1 1 8; 2θ = 77.1°, intensity 25, hkl 3 1 4

=====

[2]
The following is a theoretical XRD peak list of SiNi5Pt. It was derived from a structure optimized by DFT (PBE), using λ = 1.5418 Å (Cu Kα).
Peak positions follow from Bragg's law for the DFT cell and can differ from measured ones.

Structural model:
abc: 4.9967 6.8516 5.1652
angles: 90.00 90.00 90.00
Space group Cmmm (No. 65)
Inequivalent atoms, fractional coordinates:
Si1 0.0000 0.0000 0.0000 x2
Ni1 0.0000 0.5000 0.0000 x2
Ni2 0.2500 0.2500 0.2421 x8
Pt1 0.0000 0.5000 0.5000 x2

Main lines, sorted by position (15° ≤ 2θ ≤ 90°):
2θ = 22.0°, intensity 100, hkl 1 1 0; 2θ = 28.1°, intensity 51, hkl 1 1 1; 2θ = 41.5°, intensity 39, hkl 1 1 2; 2θ = 43.6°, intensity 17, hkl 1 3 0; 2θ = 43.9°, intensity 94, hkl 0 2 2; 2θ = 44.9°, intensity 88, hkl 2 2 0; 2θ = 50.8°, intensity 60, hkl 2 0 2; 2θ = 53.5°, intensity 26, hkl 0 4 0; 2θ = 56.9°, intensity 23, hkl 3 1 0; 2θ = 76.9°, intensity 34, hkl 2 4 2

=====

[3]
The following is a theoretical XRD peak list of Sr2In3Br7. It was derived from a structure optimized by DFT (PBE), using λ = 1.5418 Å (Cu Kα).
Peak positions follow from Bragg's law for the DFT cell and can differ from measured ones.

Structural model:
abc: 27.8867 7.8556 8.5316
angles: 90.00 90.00 90.00
Space group Cmc2_1 (No. 36)
Inequivalent atoms, fractional coordinates:
Sr1 0.1025 0.2500 0.0000 x8
In1 0.0000 0.2318 0.5785 x4
In2 0.1913 0.2472 0.4090 x8
Br1 0.0000 0.3851 0.9526 x4
Br2 0.0764 0.0716 0.3125 x8
Br3 0.1257 0.4286 0.6897 x8
Br4 0.2046 0.1196 0.0448 x8

Main lines, sorted by position (15° ≤ 2θ ≤ 90°):
2θ = 22.2°, intensity 66, hkl 5 1 1; 2θ = 25.1°, intensity 53, hkl 7 1 0; 2θ = 25.8°, intensity 39, hkl 2 2 1; 2θ = 27.2°, intensity 42, hkl 7 1 1; 2θ = 31.0°, intensity 45, hkl 0 2 2; 2θ = 31.6°, intensity 37, hkl 2 2 2; 2θ = 32.1°, intensity 45, hkl 10 0 0; 2θ = 33.6°, intensity 42, hkl 1 1 3; 2θ = 34.9°, intensity 60, hkl 3 1 3; 2θ = 39.5°, intensity 100, hkl 5 3 1

=====

[4]
The following is a theoretical XRD peak list of Zn5C3. It was derived from a structure optimized by DFT (PBE), using λ = 1.5418 Å (Cu Kα).
Peak positions follow from Bragg's law for the DFT cell and can differ from measured ones.

Structural model:
abc: 8.0033 8.0033 5.9128
angles: 90.00 90.00 90.00
Space group I4cm (No. 108)
Inequivalent atoms, fractional coordinates:
Zn1 0.0000 0.5000 0.0000 x4
Zn2 0.0807 0.2031 0.2483 x16
C1 0.0000 0.0000 0.9995 x4
C2 0.1487 0.3513 0.7504 x8

Main lines, sorted by position (15° ≤ 2θ ≤ 90°):
2θ = 29.2°, intensity 41, hkl 2 1 1; 2θ = 30.2°, intensity 67, hkl 0 0 2; 2θ = 34.2°, intensity 60, hkl 1 1 2; 2θ = 35.5°, intensity 71, hkl 3 1 0; 2θ = 37.8°, intensity 49, hkl 2 0 2; 2θ = 43.6°, intensity 100, hkl 3 2 1; 2θ = 44.3°, intensity 76, hkl 2 2 2; 2θ = 49.4°, intensity 98, hkl 4 1 1; 2θ = 51.0°, intensity 32, hkl 4 2 0; 2θ = 67.8°, intensity 35, hkl 4 1 3

=====

[5]
The following is a theoretical XRD peak list of As3Se. It was derived from a structure optimized by DFT (PBE), using λ = 1.5418 Å (Cu Kα).
Peak positions follow from Bragg's law for the DFT cell and can differ from measured ones.

Structural model:
abc: 3.6595 3.6595 30.0630
angles: 90.00 90.00 90.00
Space group I4/mmm (No. 139)
Inequivalent atoms, fractional coordinates:
As1 0.0000 0.0000 0.1650 x4
As2 0.0000 0.5000 0.0000 x4
As3 0.0000 0.5000 0.2500 x4
Se1 0.0000 0.0000 0.3656 x4

Main lines, sorted by position (15° ≤ 2θ ≤ 90°):
2θ = 17.7°, intensity 24, hkl 0 0 6; 2θ = 23.7°, intensity 39, hkl 0 0 8; 2θ = 28.6°, intensity 14, hkl 1 0 5; 2θ = 36.4°, intensity 13, hkl 1 0 9; 2θ = 36.7°, intensity 100, hkl 1 1 4; 2θ = 39.2°, intensity 12, hkl 1 1 6; 2θ = 42.4°, intensity 12, hkl 1 1 8; 2θ = 49.8°, intensity 27, hkl 2 0 0; 2θ = 55.9°, intensity 14, hkl 2 0 8; 2θ = 84.8°, intensity 18, hkl 3 1 4

=====

[6]
The following is a theoretical XRD peak list of Li2TlSbI6. It was derived from a structure optimized by DFT (PBE), using λ = 1.5418 Å (Cu Kα).
Peak positions follow from Bragg's law for the DFT cell and can differ from measured ones.

Structural model:
abc: 7.5403 7.5403 24.9962
angles: 90.00 90.00 120.00
Space group R-3 (No. 148, hexagonal axes)
Inequivalent atoms, fractional coordinates:
Li1 0.0000 0.0000 0.1675 x6
Tl1 0.0000 0.0000 0.0000 x3
Sb1 0.0000 0.0000 0.5000 x3
I1 0.0008 0.3304 0.2350 x18

Main lines, sorted by position (15° ≤ 2θ ≤ 90°):
2θ = 15.3°, intensity 38, hkl 0 1 2; 2θ = 19.7°, intensity 24, hkl 1 0 4; 2θ = 25.9°, intensity 100, hkl 1 1 3; 2θ = 32.0°, intensity 74, hkl 2 -1 6; 2θ = 40.3°, intensity 17, hkl 1 1 9; 2θ = 41.5°, intensity 39, hkl 3 0 0; 2θ = 49.6°, intensity 17, hkl 4 -2 3; 2θ = 50.0°, intensity 14, hkl 1 1 12; 2θ = 53.3°, intensity 17, hkl 2 2 6; 2θ = 69.7°, intensity 15, hkl 5 -1 6

=====

[7]
The following is a theoretical XRD peak list of Sm7Al3. It was derived from a structure optimized by DFT (PBE), using λ = 1.5418 Å (Cu Kα).
Peak positions follow from Bragg's law for the DFT cell and can differ from measured ones.

Structural model:
abc: 10.5749 10.5749 6.2075
angles: 90.00 90.00 120.00
Space group P6_3mc (No. 186)
Inequivalent atoms, fractional coordinates:
Sm1 0.0600 0.5300 0.0000 x6
Sm2 0.1216 0.2433 0.7737 x6
Sm3 0.3333 0.6667 0.5677 x2
Al1 0.1935 0.3870 0.3027 x6

Main lines, sorted by position (15° ≤ 2θ ≤ 90°):
2θ = 24.2°, intensity 26, hkl 2 0 1; 2θ = 25.7°, intensity 49, hkl 2 1 0; 2θ = 29.5°, intensity 100, hkl 2 1 1; 2θ = 30.4°, intensity 59, hkl 1 0 2; 2θ = 32.7°, intensity 80, hkl 3 0 1; 2θ = 33.9°, intensity 42, hkl 2 2 0; 2θ = 34.9°, intensity 54, hkl 2 0 2; 2θ = 51.9°, intensity 20, hkl 3 3 0; 2θ = 52.1°, intensity 25, hkl 5 0 1; 2θ = 52.6°, intensity 41, hkl 3 2 2

=====

[8]
The following is a theoretical XRD peak list of Na2B3C. It was derived from a structure optimized by DFT (PBE), using λ = 1.5418 Å (Cu Kα).
Peak positions follow from Bragg's law for the DFT cell and can differ from measured ones.

Structural model:
abc: 5.0171 7.7412 9.0775
angles: 93.68 106.04 108.88
Space group P1 (No. 1)
Inequivalent atoms, fractional coordinates:
Na1 0.0000 0.0000 0.0000 x1
Na2 0.0909 0.6965 0.4933 x1
Na3 0.1964 0.4002 0.0013 x1
Na4 0.2940 0.0961 0.4916 x1
Na5 0.3944 0.7988 0.9985 x1
Na6 0.4889 0.4976 0.4905 x1
Na7 0.5984 0.1979 0.0002 x1
Na8 0.6972 0.8997 0.4940 x1
Na9 0.7933 0.5983 0.9993 x1
Na10 0.8893 0.2980 0.4910 x1
B1 0.0131 0.4600 0.2464 x1
B2 0.0768 0.2482 0.2467 x1
B3 0.1291 0.1436 0.7461 x1
B4 0.1840 0.9391 0.7457 x1
B5 0.2098 0.8483 0.2458 x1
B6 0.3689 0.3674 0.7460 x1
B7 0.4277 0.2479 0.2460 x1
B8 0.5330 0.9536 0.7454 x1
B9 0.5502 0.7298 0.7461 x1
B10 0.6095 0.6482 0.2458 x1
B11 0.6986 0.3428 0.7458 x1
B12 0.7939 0.1580 0.7457 x1
B13 0.8011 0.0363 0.2458 x1
B14 0.9041 0.7538 0.7460 x1
B15 0.9737 0.5483 0.7463 x1
C1 0.2749 0.6542 0.2462 x1
C2 0.2962 0.5486 0.7466 x1
C3 0.4757 0.0453 0.2458 x1
C4 0.6786 0.4510 0.2460 x1
C5 0.8684 0.8422 0.2452 x1

Main lines, sorted by position (15° ≤ 2θ ≤ 90°):
2θ = 35.5°, intensity 20, hkl 1 2 -1; 2θ = 35.8°, intensity 9, hkl -2 1 1; 2θ = 41.4°, intensity 100, hkl 1 2 1; 2θ = 41.7°, intensity 51, hkl 2 -1 1; 2θ = 42.0°, intensity 38, hkl 0 0 4; 2θ = 56.1°, intensity 11, hkl 1 2 3; 2θ = 64.1°, intensity 17, hkl 3 1 -2; 2θ = 76.4°, intensity 12, hkl 1 2 5; 2θ = 78.9°, intensity 11, hkl 2 4 0; 2θ = 79.7°, intensity 22, hkl 3 1 2

=====

[9]
The following is a theoretical XRD peak list of Hg4I7. It was derived from a structure optimized by DFT (PBE), using λ = 1.5418 Å (Cu Kα).
Peak positions follow from Bragg's law for the DFT cell and can differ from measured ones.

Structural model:
abc: 9.6525 9.6525 6.4449
angles: 90.00 90.00 90.00
Space group P-4m2 (No. 115)
Inequivalent atoms, fractional coordinates:
Hg1 0.0000 0.2703 0.2372 x4
I1 0.0000 0.0000 0.5000 x1
I2 0.0000 0.5000 0.5227 x2
I3 0.2511 0.2511 0.0000 x4

Main lines, sorted by position (15° ≤ 2θ ≤ 90°):
2θ = 16.5°, intensity 27, hkl 1 0 1; 2θ = 23.0°, intensity 100, hkl 2 0 1; 2θ = 24.8°, intensity 19, hkl 2 1 1; 2θ = 34.7°, intensity 16, hkl 2 1 2; 2θ = 36.3°, intensity 16, hkl 3 2 1; 2θ = 37.3°, intensity 28, hkl 4 0 0; 2θ = 38.4°, intensity 55, hkl 2 2 2; 2θ = 44.3°, intensity 34, hkl 4 2 1; 2θ = 46.3°, intensity 15, hkl 2 0 3; 2θ = 68.0°, intensity 19, hkl 6 2 2

=====

[10]
The following is a theoretical XRD peak list of Pr4Sm8Tm. It was derived from a structure optimized by DFT (PBE), using λ = 1.5418 Å (Cu Kα).
Peak positions follow from Bragg's law for the DFT cell and can differ from measured ones.

Structural model:
abc: 11.2398 11.2398 13.5580
angles: 90.00 90.00 120.00
Space group R-3m (No. 166, hexagonal axes)
Inequivalent atoms, fractional coordinates:
Pr1 0.0000 0.0000 0.0000 x3
Pr2 0.0000 0.5000 0.0000 x9
Sm1 0.0000 0.0000 0.2385 x6
Sm2 0.0118 0.5059 0.7435 x18
Tm1 0.0000 0.0000 0.5000 x3

Main lines, sorted by position (15° ≤ 2θ ≤ 90°):
2θ = 19.4°, intensity 14, hkl 0 2 1; 2θ = 22.5°, intensity 13, hkl 2 0 2; 2θ = 31.8°, intensity 100, hkl 2 2 0; 2θ = 32.2°, intensity 96, hkl 0 2 4; 2θ = 45.9°, intensity 35, hkl 4 0 4; 2θ = 56.7°, intensity 19, hkl 6 0 0; 2θ = 57.0°, intensity 37, hkl 2 4 4; 2θ = 57.6°, intensity 17, hkl 2 0 8; 2θ = 75.9°, intensity 15, hkl 6 2 4; 2θ = 76.4°, intensity 14, hkl 4 2 8

=====

[11]
The following is a theoretical XRD peak list of Pm3Er5Sb8. It was derived from a structure optimized by DFT (PBE), using λ = 1.5418 Å (Cu Kα).
Peak positions follow from Bragg's law for the DFT cell and can differ from measured ones.

Structural model:
abc: 8.8151 8.8151 21.5789
angles: 90.00 90.00 120.00
Space group R-3m (No. 166, hexagonal axes)
Inequivalent atoms, fractional coordinates:
Pm1 0.0000 0.5000 0.0000 x9
Er1 0.0000 0.0000 0.0000 x3
Er2 0.0000 0.0000 0.5000 x3
Er3 0.0000 0.5000 0.5000 x9
Sb1 0.0000 0.0000 0.2469 x6
Sb2 0.0041 0.5021 0.7521 x18

Main lines, sorted by position (15° ≤ 2θ ≤ 90°):
2θ = 24.7°, intensity 3, hkl 0 0 6; 2θ = 28.6°, intensity 100, hkl 0 2 4; 2θ = 41.0°, intensity 76, hkl 2 2 0; 2θ = 48.4°, intensity 2, hkl 0 2 10; 2θ = 50.7°, intensity 27, hkl 4 0 4; 2θ = 59.3°, intensity 13, hkl 0 4 8; 2θ = 65.3°, intensity 1, hkl 2 0 14; 2θ = 67.2°, intensity 35, hkl 2 4 4; 2θ = 74.6°, intensity 26, hkl 6 0 0; 2θ = 88.8°, intensity 8, hkl 4 4 0

=====

[12]
The following is a theoretical XRD peak list of Sm5Cd2Ga. It was derived from a structure optimized by DFT (PBE), using λ = 1.5418 Å (Cu Kα).
Peak positions follow from Bragg's law for the DFT cell and can differ from measured ones.

Structural model:
abc: 7.7595 7.7595 15.5732
angles: 90.00 90.00 90.00
Space group I4/mcm (No. 140)
Inequivalent atoms, fractional coordinates:
Sm1 0.0000 0.0000 0.0000 x4
Sm2 0.1669 0.3331 0.1579 x16
Cd1 0.1274 0.3726 0.5000 x8
Ga1 0.0000 0.0000 0.2500 x4

Main lines, sorted by position (15° ≤ 2θ ≤ 90°):
2θ = 25.7°, intensity 8, hkl 2 0 2; 2θ = 31.0°, intensity 100, hkl 2 1 3; 2θ = 32.6°, intensity 29, hkl 2 0 4; 2θ = 34.6°, intensity 19, hkl 0 0 6; 2θ = 36.6°, intensity 35, hkl 3 1 0; 2θ = 51.2°, intensity 16, hkl 3 1 6; 2θ = 51.7°, intensity 15, hkl 4 1 3; 2θ = 59.7°, intensity 14, hkl 2 1 9; 2θ = 62.1°, intensity 9, hkl 3 3 6; 2θ = 67.5°, intensity 11, hkl 5 2 3